[1]
This entry pairs a crystal structure of Ba5SrCa2 with its simulated powder diffractogram. Radiation: Cu Ka. Structure: a cell relaxed with PBE.

Atomic structure:
a = 8.5066 Å, b = 17.0013 Å, c = 6.3355 Å
α = 90.00°, β = 90.00°, γ = 90.00°
Sites, in units of the cell vectors:
Ba1 0.0000 0.0000 0.0000
Ba2 0.0032 0.2511 0.0000
Ba3 0.2498 0.3763 0.5000
Ba4 0.2502 0.8763 0.5000
Ba5 0.4968 0.7511 0.0000
Ba6 0.5000 0.5000 0.0000
Ba7 0.5032 0.2489 0.0000
Ba8 0.7498 0.1237 0.5000
Ba9 0.7502 0.6237 0.5000
Ba10 0.9968 0.7489 0.0000
Sr1 0.0000 0.5000 0.0000
Sr2 0.5000 0.0000 0.0000
Ca1 0.2481 0.6247 0.5000
Ca2 0.2519 0.1247 0.5000
Ca3 0.7481 0.8753 0.5000
Ca4 0.7519 0.3753 0.5000

Top 10 peaks for 10 to 90 degrees two-theta, sorted by position:
25.23°, I = 100; 28.17°, I = 19; 29.72°, I = 33; 41.41°, I = 26; 42.52°, I = 12; 48.11°, I = 17; 50.09°, I = 30; 51.79°, I = 13; 66.13°, I = 13; 77.05°, I = 8

***

[2]
This entry pairs a crystal structure of Pr6NdTl2 with its simulated powder diffractogram. Radiation: Cu Ka. Structure: a cell relaxed with PBE.

Atomic structure:
a = 10.0925 Å, b = 10.0925 Å, c = 6.1317 Å
α = 97.28°, β = 97.28°, γ = 72.39°
Sites, in units of the cell vectors:
Pr1 0.0540 0.8289 0.9673
Pr2 0.1368 0.3857 0.1693
Pr3 0.1711 0.9460 0.5327
Pr4 0.2696 0.4992 0.6997
Pr5 0.3857 0.1368 0.6693
Pr6 0.4992 0.2696 0.1997
Pr7 0.5008 0.7304 0.8003
Pr8 0.6143 0.8632 0.3307
Pr9 0.7304 0.5008 0.3003
Pr10 0.8289 0.0540 0.4673
Pr11 0.8632 0.6143 0.8307
Pr12 0.9460 0.1711 0.0327
Nd1 0.3540 0.6460 0.2500
Nd2 0.6460 0.3540 0.7500
Tl1 0.0178 0.2929 0.6001
Tl2 0.2929 0.0178 0.1001
Tl3 0.7071 0.9822 0.8999
Tl4 0.9822 0.7071 0.3999

Top 10 peaks for 10 to 90 degrees two-theta, sorted by position:
29.98°, I = 58; 30.11°, I = 57; 30.28°, I = 52; 32.29°, I = 100; 37.05°, I = 33; 37.19°, I = 28; 48.37°, I = 13; 48.49°, I = 13; 51.38°, I = 14; 54.69°, I = 33